1.
Structure and computed powder diffraction line list of Tb2Pr2Se5 (a cell relaxed with PBE; CuKα).
Lines closer than 0.1° are merged.

Top 12 peaks for 10 to 90 degrees two-theta, by intensity:
31.27°, d = 2.861 Å, I 100.0; 35.10°, d = 2.557 Å, I 87.6; 36.90°, d = 2.436 Å, I 70.6; 36.72°, d = 2.448 Å, I 69.4; 28.11°, d = 3.175 Å, I 51.7; 32.35°, d = 2.767 Å, I 47.4; 34.09°, d = 2.630 Å, I 38.9; 47.78°, d = 1.904 Å, I 34.0; 39.68°, d = 2.271 Å, I 33.6; 36.06°, d = 2.491 Å, I 33.2; 47.63°, d = 1.909 Å, I 31.7; 67.05°, d = 1.396 Å, I 31.5

Atomic structure:
```
Tb2Pr2Se5
1.0
7.4719 -3.9255 0.0000
7.4719 3.9255 0.0000
0.0000 0.0000 7.8036
Tb Pr Se
4 4 10
direct
0.1515 0.8485 0.8430
0.3485 0.6515 0.3430
0.6515 0.3485 0.6570
0.8485 0.1515 0.1570
0.1977 0.1977 0.5000
0.3023 0.3023 0.0000
0.6977 0.6977 0.0000
0.8023 0.8023 0.5000
0.0000 0.0000 0.5000
0.0235 0.7077 0.1539
0.2077 0.5235 0.6539
0.2923 0.9765 0.1539
0.4765 0.7923 0.6539
0.5000 0.5000 0.0000
0.5235 0.2077 0.3461
0.7077 0.0235 0.8461
0.7923 0.4765 0.3461
0.9765 0.2923 0.8461
```

---

2.
Structure and computed powder diffraction line list of TbPr6Se8 (a cell relaxed with PBE; CuKα).
Lines closer than 0.1° are merged.

Top 12 peaks for 10 to 90 degrees two-theta, by intensity:
29.76°, d = 3.002 Å, I 100.0; 42.59°, d = 2.123 Å, I 74.6; 70.10°, d = 1.342 Å, I 33.5; 52.83°, d = 1.733 Å, I 26.3; 77.97°, d = 1.225 Å, I 24.9; 61.81°, d = 1.501 Å, I 12.2; 12.77°, d = 6.932 Å, I 10.7; 25.70°, d = 3.466 Å, I 9.6; 24.59°, d = 3.620 Å, I 5.5; 50.41°, d = 1.810 Å, I 5.0; 14.76°, d = 6.003 Å, I 3.2; 38.98°, d = 2.311 Å, I 2.9

Atomic structure:
```
TbPr6Se8
1.0
0.0000 6.0035 6.0035
6.0035 0.0000 6.0035
6.0035 6.0035 0.0000
Tb Pr Se
1 6 8
direct
0.0000 0.0000 0.0000
0.0000 0.0000 0.5000
0.0000 0.5000 0.0000
0.0000 0.5000 0.5000
0.5000 0.0000 0.0000
0.5000 0.0000 0.5000
0.5000 0.5000 0.0000
0.2450 0.2450 0.7550
0.2450 0.7550 0.2450
0.2450 0.7550 0.7550
0.2500 0.2500 0.2500
0.7500 0.7500 0.7500
0.7550 0.2450 0.2450
0.7550 0.2450 0.7550
0.7550 0.7550 0.2450
```